Calculated powder XRD pattern
Compound: BaYVCuO5
Radiation: CuKα
Structure: the PBE+U geometry in the Materials Project
No peak broadening, texture or thermal motion is included.

Structural model:
```
data_BaYVCuO5
_space_group_name_H-M_alt 'P 4 m m'
_space_group_IT_number 99
_cell_length_a 3.9189
_cell_length_b 3.9189
_cell_length_c 8.0086
_cell_angle_alpha 90.00
_cell_angle_beta 90.00
_cell_angle_gamma 90.00
loop_
_space_group_symop_operation_xyz
'x,y,z'
'-y,x,z'
'-x,-y,z'
'y,-x,z'
'-x,y,z'
'y,x,z'
'x,-y,z'
'-y,-x,z'
loop_
_atom_site_label
_atom_site_fract_x
_atom_site_fract_y
_atom_site_fract_z
Ba1 0.0000 0.0000 0.0000
Y1 0.0000 0.0000 0.4511
V1 0.5000 0.5000 0.6927
Cu1 0.5000 0.5000 0.2599
O1 0.0000 0.5000 0.2668
O2 0.0000 0.5000 0.6233
O3 0.5000 0.5000 0.9210
```

Top 8 peaks for 2θ = 10–80°, low angle first:
(1 0 2), 32.0 deg, rel. 100.0; (1 1 0), 32.3 deg, rel. 42.9; (1 1 2), 39.5 deg, rel. 13.7; (2 0 0), 46.3 deg, rel. 31.4; (1 1 4), 56.7 deg, rel. 14.4; (2 1 2), 57.4 deg, rel. 36.1; (2 2 0), 67.6 deg, rel. 11.0; (3 1 0), 76.9 deg, rel. 10.3